1.
Diffraction record for Cs2CuSeCl6. The X-ray powder pattern is simulated, not measured: it uses a DFT-relaxed cell (GGA-PBE, Alexandria) and Cu Kα X-rays.
Kinematic intensities with the Lorentz-polarization factor, no thermal factor.

Unit cell a=7.4035 b=7.4035 c=11.0104 alpha=90.00 beta=90.00 gamma=90.00
Space group I4/mmm (No. 139)
One atom of each set of equivalent atoms:
Cs 0.0000 0.5000 0.2500
Cu 0.0000 0.0000 0.0000
Se 0.0000 0.0000 0.5000
Cl 0.0000 0.0000 0.1982
Cl 0.2334 0.2334 0.5000

Peak list (10 most intense, 10 to 80 degrees two-theta, in order of rising 2θ)
- 23.45°, d 3.794, intensity 100.0, (1 1 2)
- 24.04°, d 3.702, intensity 43.4, (2 0 0)
- 29.07°, d 3.072, intensity 46.1, (2 0 2)
- 32.53°, d 2.753, intensity 28.7, (0 0 4)
- 34.26°, d 2.618, intensity 58.0, (2 2 0)
- 41.93°, d 2.154, intensity 41.9, (3 1 2)
- 47.96°, d 1.897, intensity 35.6, (2 2 4)
- 49.23°, d 1.851, intensity 19.1, (4 0 0)
- 60.25°, d 1.536, intensity 17.1, (4 0 4)
- 64.52°, d 1.444, intensity 17.2, (3 1 6)



2.
Diffraction record for Cs2SmCu2Cl6. The X-ray powder pattern is simulated, not measured: it uses a DFT-relaxed cell (GGA-PBE, Alexandria) and Cu Kα X-rays.
Kinematic intensities with the Lorentz-polarization factor, no thermal factor.

Unit cell a=14.8863 b=7.0807 c=8.5987 alpha=90.00 beta=122.01 gamma=90.00
Space group C2/m (No. 12)
One atom of each set of equivalent atoms:
Cs 0.2046 0.0000 0.2279
Sm 0.0000 0.0000 0.5000
Cu 0.0093 0.5000 0.6483
Cl 0.0255 0.2269 0.7871
Cl 0.2104 0.0000 0.6463

Peak list (10 most intense, 10 to 80 degrees two-theta, in order of rising 2θ)
- 12.14°, d 7.291, intensity 72.8, (0 0 1)
- 21.13°, d 4.205, intensity 62.2, (1 1 1)
- 24.07°, d 3.697, intensity 91.7, (4 0 -1)
- 25.15°, d 3.540, intensity 72.8, (0 2 0)
- 28.28°, d 3.155, intensity 77.7, (4 0 0)
- 32.79°, d 2.731, intensity 100.0, (2 2 -2)
- 34.35°, d 2.611, intensity 46.9, (2 2 1)
- 35.09°, d 2.557, intensity 41.7, (4 2 -1)
- 36.03°, d 2.493, intensity 75.8, (1 1 -3)
- 42.47°, d 2.128, intensity 42.2, (3 1 2)



3.
Diffraction record for Cs3TbCu2Cl9. The X-ray powder pattern is simulated, not measured: it uses a DFT-relaxed cell (GGA-PBE, Alexandria) and Cu Kα X-rays.
Kinematic intensities with the Lorentz-polarization factor, no thermal factor.

Unit cell a=7.3296 b=7.3296 c=9.0468 alpha=90.00 beta=90.00 gamma=120.00
Space group P-3m1 (No. 164)
One atom of each set of equivalent atoms:
Cs 0.0000 0.0000 0.0000
Cs 0.3333 0.6667 0.6726
Tb 0.0000 0.0000 0.5000
Cu 0.3333 0.6667 0.1297
Cl 0.0000 0.5000 0.0000
Cl 0.1703 0.3405 0.3292

Peak list (10 most intense, 10 to 80 degrees two-theta, in order of rising 2θ)
- 24.16°, d 3.684, intensity 80.5, (0 1 2)
- 24.29°, d 3.665, intensity 83.0, (1 1 0)
- 29.83°, d 2.995, intensity 29.8, (0 2 1)
- 34.52°, d 2.598, intensity 100.0, (2 0 2)
- 42.43°, d 2.131, intensity 17.6, (1 0 4)
- 42.68°, d 2.118, intensity 54.8, (3 0 0)
- 49.49°, d 1.842, intensity 31.8, (0 2 4)
- 49.76°, d 1.832, intensity 34.2, (2 2 0)
- 61.97°, d 1.497, intensity 16.8, (0 4 2)
- 67.61°, d 1.386, intensity 19.2, (4 1 0)



4.
Diffraction record for Cs2TiCuCl6. The X-ray powder pattern is simulated, not measured: it uses a DFT-relaxed cell (GGA-PBE, Alexandria) and Cu Kα X-rays.
Kinematic intensities with the Lorentz-polarization factor, no thermal factor.

Unit cell a=11.8112 b=8.2158 c=7.5704 alpha=90.00 beta=129.81 gamma=90.00
Space group C2 (No. 5)
One atom of each set of equivalent atoms:
Cs 0.2393 0.0000 0.2386
Ti 0.0000 0.4998 0.0000
Cu 0.0000 0.8860 0.5000
Cl 0.0003 0.7253 0.2331
Cl 0.0006 0.3013 0.2259
Cl 0.2257 0.0186 0.7259

Peak list (10 most intense, 10 to 80 degrees two-theta, in order of rising 2θ)
- 21.63°, d 4.108, intensity 30.1, (0 2 0)
- 23.50°, d 3.785, intensity 32.1, (2 0 -2)
- 25.33°, d 3.517, intensity 100.0, (3 1 -1)
- 29.33°, d 3.045, intensity 65.3, (2 2 0)
- 30.76°, d 2.906, intensity 41.8, (0 0 2)
- 32.16°, d 2.784, intensity 79.2, (2 2 -2)
- 39.74°, d 2.268, intensity 28.0, (4 0 0)
- 42.44°, d 2.130, intensity 22.0, (5 1 -3)
- 52.01°, d 1.758, intensity 33.9, (6 2 -2)
- 54.72°, d 1.677, intensity 21.9, (0 4 2)



5.
Diffraction record for Cs3DyCl6. The X-ray powder pattern is simulated, not measured: it uses a DFT-relaxed cell (GGA-PBE, Alexandria) and Cu Kα X-rays.
Kinematic intensities with the Lorentz-polarization factor, no thermal factor.

Unit cell a=11.8599 b=11.8599 c=11.8599 alpha=90.00 beta=90.00 gamma=90.00
Space group Fm-3m (No. 225)
One atom of each set of equivalent atoms:
Cs 0.0000 0.0000 0.0000
Cs 0.2500 0.2500 0.2500
Dy 0.0000 0.0000 0.5000
Cl 0.0000 0.0000 0.2773

Peak list (10 most intense, 10 to 80 degrees two-theta, in order of rising 2θ)
- 21.19°, d 4.193, intensity 100.0, (2 2 0)
- 30.14°, d 2.965, intensity 50.6, (4 0 0)
- 37.14°, d 2.421, intensity 45.0, (4 2 2)
- 43.15°, d 2.097, intensity 34.7, (4 4 0)
- 48.55°, d 1.875, intensity 25.2, (6 2 0)
- 53.53°, d 1.712, intensity 11.5, (4 4 4)
- 58.21°, d 1.585, intensity 27.9, (6 4 2)
- 66.95°, d 1.398, intensity 12.5, (6 6 0)
- 71.10°, d 1.326, intensity 13.7, (8 4 0)
- 79.12°, d 1.210, intensity 9.9, (8 4 4)



6.
Diffraction record for Cs3Dy2Cl9. The X-ray powder pattern is simulated, not measured: it uses a DFT-relaxed cell (GGA-PBE, Alexandria) and Cu Kα X-rays.
Kinematic intensities with the Lorentz-polarization factor, no thermal factor.

Unit cell a=13.3617 b=13.3617 c=18.9799 alpha=90.00 beta=90.00 gamma=120.00
Space group R-3c (No. 167, hexagonal axes)
One atom of each set of equivalent atoms:
Cs 0.0000 0.3383 0.2500
Dy 0.0000 0.0000 0.1503
Cl 0.0000 0.1503 0.7500
Cl 0.0061 0.1746 0.4100

Peak list (10 most intense, 10 to 80 degrees two-theta, in order of rising 2θ)
- 13.25°, d 6.681, intensity 33.0, (1 1 0)
- 19.32°, d 4.594, intensity 46.3, (1 1 3)
- 20.23°, d 4.390, intensity 26.9, (1 0 4)
- 23.06°, d 3.857, intensity 93.9, (3 0 0)
- 30.26°, d 2.954, intensity 100.0, (2 2 3)
- 31.29°, d 2.859, intensity 38.3, (1 1 6)
- 39.22°, d 2.297, intensity 47.8, (2 2 6)
- 40.51°, d 2.227, intensity 21.5, (3 3 0)
- 45.99°, d 1.973, intensity 28.6, (1 4 6)
- 47.12°, d 1.929, intensity 37.6, (6 0 0)



7.
Diffraction record for CsLiDyCl5. The X-ray powder pattern is simulated, not measured: it uses a DFT-relaxed cell (GGA-PBE, Alexandria) and Cu Kα X-rays.
Kinematic intensities with the Lorentz-polarization factor, no thermal factor.

Unit cell a=9.2661 b=12.3995 c=10.1842 alpha=90.00 beta=114.07 gamma=90.00
Space group C2/c (No. 15)
One atom of each set of equivalent atoms:
Cs 0.0000 0.1610 0.2500
Li 0.0000 0.1919 0.7500
Dy 0.0000 0.5000 0.0000
Cl 0.0000 0.4373 0.2500
Cl 0.0907 0.3025 0.6003
Cl 0.2047 0.0686 0.9110

Peak list (10 most intense, 10 to 80 degrees two-theta, in order of rising 2θ)
- 12.67°, d 6.989, intensity 55.0, (1 1 0)
- 13.03°, d 6.793, intensity 22.7, (1 1 -1)
- 19.03°, d 4.662, intensity 100.0, (1 1 -2)
- 21.00°, d 4.230, intensity 50.1, (2 0 0)
- 23.95°, d 3.716, intensity 84.2, (1 3 0)
- 27.26°, d 3.271, intensity 21.8, (1 1 -3)
- 30.44°, d 2.937, intensity 37.7, (0 4 1)
- 36.45°, d 2.465, intensity 29.0, (2 4 -2)
- 38.65°, d 2.330, intensity 28.1, (3 3 0)
- 44.67°, d 2.028, intensity 22.6, (4 0 -4)



8.
Diffraction record for CsDyZn2Cl8. The X-ray powder pattern is simulated, not measured: it uses a DFT-relaxed cell (GGA-PBE, Alexandria) and Cu Kα X-rays.
Kinematic intensities with the Lorentz-polarization factor, no thermal factor.

Unit cell a=6.5304 b=6.5304 c=30.5629 alpha=90.00 beta=90.00 gamma=120.00
Space group R-3 (No. 148, hexagonal axes)
One atom of each set of equivalent atoms:
Cs 0.0000 0.0000 0.0000
Dy 0.0000 0.0000 0.5000
Zn 0.0000 0.0000 0.2441
Cl 0.0000 0.0000 0.3165
Cl 0.0006 0.3306 0.4490

Peak list (10 most intense, 10 to 80 degrees two-theta, in order of rising 2θ)
- 19.53°, d 4.546, intensity 100.0, (1 0 4)
- 27.31°, d 3.265, intensity 38.3, (1 1 0)
- 28.19°, d 3.166, intensity 28.0, (0 1 8)
- 28.71°, d 3.109, intensity 14.0, (2 -1 3)
- 32.57°, d 2.749, intensity 28.1, (1 1 6)
- 33.80°, d 2.652, intensity 24.9, (0 2 4)
- 43.99°, d 2.059, intensity 24.0, (2 1 4)
- 45.15°, d 2.008, intensity 34.5, (2 -1 12)
- 48.28°, d 1.885, intensity 24.8, (3 0 0)
- 48.82°, d 1.865, intensity 12.9, (1 2 8)



9.
Diffraction record for CsErClF3. The X-ray powder pattern is simulated, not measured: it uses a DFT-relaxed cell (GGA-PBE, Alexandria) and Cu Kα X-rays.
Kinematic intensities with the Lorentz-polarization factor, no thermal factor.

Unit cell a=5.3767 b=15.7977 c=7.0238 alpha=90.00 beta=91.35 gamma=90.00
Space group C2/c (No. 15)
One atom of each set of equivalent atoms:
Cs 0.0000 0.2350 0.2500
Er 0.0000 0.0415 0.7500
Cl 0.0000 0.4557 0.2500
F 0.0000 0.1785 0.7500
F 0.0230 0.0728 0.0602

Peak list (10 most intense, 10 to 80 degrees two-theta, in order of rising 2θ)
- 17.43°, d 5.089, intensity 100.0, (1 1 0)
- 22.51°, d 3.949, intensity 35.6, (0 4 0)
- 25.37°, d 3.511, intensity 65.6, (0 0 2)
- 25.88°, d 3.442, intensity 42.5, (0 4 1)
- 26.70°, d 3.339, intensity 43.9, (1 3 -1)
- 27.08°, d 3.293, intensity 37.9, (1 3 1)
- 33.34°, d 2.688, intensity 47.0, (2 0 0)
- 34.17°, d 2.624, intensity 28.7, (0 4 2)
- 42.89°, d 2.109, intensity 29.3, (2 0 2)
- 45.32°, d 2.001, intensity 31.8, (1 7 -1)



10.
Diffraction record for CsErFe2Cl8. The X-ray powder pattern is simulated, not measured: it uses a DFT-relaxed cell (GGA-PBE, Alexandria) and Cu Kα X-rays.
Kinematic intensities with the Lorentz-polarization factor, no thermal factor.

Unit cell a=10.7598 b=7.3277 c=10.1854 alpha=90.00 beta=96.53 gamma=90.00
Space group C2/m (No. 12)
One atom of each set of equivalent atoms:
Cs 0.0000 0.0000 0.0000
Er 0.0000 0.0000 0.5000
Fe 0.1196 0.5000 0.2963
Cl 0.0133 0.2475 0.6894
Cl 0.1849 0.5000 0.0975
Cl 0.2446 0.0000 0.5107

Peak list (10 most intense, 10 to 80 degrees two-theta, in order of rising 2θ)
- 14.66°, d 6.044, intensity 52.5, (1 1 0)
- 16.59°, d 5.344, intensity 100.0, (2 0 0)
- 22.18°, d 4.009, intensity 77.1, (1 1 -2)
- 23.65°, d 3.762, intensity 74.0, (1 1 2)
- 24.29°, d 3.664, intensity 43.8, (0 2 0)
- 27.84°, d 3.205, intensity 68.3, (3 1 0)
- 30.11°, d 2.968, intensity 48.5, (0 2 2)
- 35.54°, d 2.526, intensity 33.6, (0 0 4)
- 44.08°, d 2.054, intensity 32.8, (4 2 -2)
- 47.27°, d 1.923, intensity 36.0, (4 2 2)